(1)
Calculated X-ray diffraction stick pattern of Mg8Hg2Ru for Cu Kα (weighted mean of Kα1 and Kα2), from DFT lattice parameters and positions (PBE).
Neutral-atom scattering factors, no anomalous dispersion.

Largest 10 diffraction maxima, low angle first, 10° ≤ 2θ ≤ 80°:
two_theta	intensity
14.02	20
22.61	87
22.84	34
24.02	62
28.87	29
37.12	100
39.57	26
39.97	21
40.83	26
46.82	22

```
Mg8Hg2Ru
1.0
-2.2777 3.8944 6.3169
2.2777 -3.8944 6.3169
2.2777 3.8944 -6.3169
Mg Hg Ru
8 2 1
direct
0.1203 0.3510 0.7693
0.1393 0.1393 0.0000
0.2890 0.0000 0.2890
0.4184 0.6490 0.7693
0.5816 0.3510 0.2307
0.7110 0.0000 0.7110
0.8607 0.8607 0.0000
0.8797 0.6490 0.2307
0.3075 0.8075 0.5000
0.6925 0.1925 0.5000
0.0000 0.5000 0.5000
```



(2)
Calculated X-ray diffraction stick pattern of TmMgHgRu for Cu Kα (weighted mean of Kα1 and Kα2), from DFT lattice parameters and positions (PBE).
Neutral-atom scattering factors, no anomalous dispersion.

Largest 10 diffraction maxima, low angle first, 10° ≤ 2θ ≤ 80°:
two_theta	intensity
22.65	28
26.21	6
37.41	100
44.17	15
53.94	17
59.23	7
60.93	2
67.48	36
72.19	5
79.78	11

```
TmMgHgRu
1.0
0.0000 3.3999 3.3999
3.3999 0.0000 3.3999
3.3999 3.3999 0.0000
Tm Mg Hg Ru
1 1 1 1
direct
0.0000 0.0000 0.0000
0.5000 0.5000 0.5000
0.7500 0.7500 0.7500
0.2500 0.2500 0.2500
```



(3)
Calculated X-ray diffraction stick pattern of MgHgS for Cu Kα (weighted mean of Kα1 and Kα2), from DFT lattice parameters and positions (PBE).
Neutral-atom scattering factors, no anomalous dispersion.

Largest 10 diffraction maxima, low angle first, 10° ≤ 2θ ≤ 80°:
two_theta	intensity
25.54	100
26.19	46
28.63	78
29.26	45
29.67	33
30.42	43
32.95	26
34.10	57
43.16	22
43.39	39

```
MgHgS
1.0
4.1733 0.0000 0.0000
2.0708 3.6270 0.0000
0.4812 0.2853 11.7533
Mg Hg S
2 2 2
direct
0.0000 0.0000 0.0000
0.3490 0.3493 0.8099
0.6371 0.6154 0.4991
0.9857 0.9646 0.2926
0.0174 0.0171 0.7782
0.3321 0.3319 0.0285
```